Starting from a DFT-relaxed cell (PBE, Alexandria), the PXRD pattern of Cs3Tl4In4 was calculated for copper Kα.

```
data_Cs3Tl4In4
_cell_length_a 9.6638
_cell_length_b 9.6638
_cell_length_c 9.6638
_cell_angle_alpha 90.00
_cell_angle_beta 90.00
_cell_angle_gamma 90.00
_symmetry_space_group_name_H-M 'I -4 3 m'
_symmetry_Int_Tables_number 217
_symmetry_space_group_name_Hall 'I -4 2 3'
loop_
_atom_site_label
_atom_site_type_symbol
_atom_site_fract_x
_atom_site_fract_y
_atom_site_fract_z
Cs1 Cs 0.0000 0.0000 0.5000
Tl1 Tl 0.1693 0.1693 0.8307
In1 In 0.1499 0.1499 0.1499
```

Most intense lines, 5° ≤ 2θ ≤ 70°, in order of rising 2θ:
- 2θ 12.96, d = 6.833 Å, I 26, (1 1 0)
- 2θ 22.54, d = 3.945 Å, I 40, (2 1 1)
- 2θ 26.08, d = 3.417 Å, I 48, (2 2 0)
- 2θ 29.22, d = 3.056 Å, I 100, (3 1 0)
- 2θ 39.57, d = 2.278 Å, I 62, (3 3 0)
- 2θ 41.80, d = 2.161 Å, I 30, (4 2 0)
- 2θ 43.95, d = 2.060 Å, I 25, (3 3 2)
- 2θ 55.44, d = 1.657 Å, I 28, (4 3 3)